The following is a computed powder XRD pattern of FeB2O4. It was derived from a cell relaxed with PBE+U, using copper Kα.
Kinematic intensities with the Lorentz-polarization factor, no thermal factor.

Principal peaks in the range 10 to 90 degrees two-theta, in order of rising 2θ:
hkl, 2θ (°), d_spacing, I_rel
2 0 0, 19.36, 4.584, 33.4
1 1 1, 30.28, 2.952, 100.0
3 1 0, 33.25, 2.694, 57.2
3 1 -1, 33.98, 2.639, 89.5
0 2 1, 38.00, 2.368, 63.4
2 0 -2, 40.72, 2.216, 40.0
3 1 1, 44.68, 2.028, 37.4
2 2 1, 46.21, 1.965, 69.7
1 3 0, 48.89, 1.863, 38.6
6 2 -1, 66.57, 1.405, 45.4

Crystal structure
a = 9.685 Å, b = 5.707 Å, c = 4.481 Å
α = 90.00°, β = 108.79°, γ = 90.00°
Space group C2/c (No. 15)
Asymmetric unit:
Fe 0.000 0.163 0.250
B 0.189 0.392 0.879
O 0.142 0.416 0.538
O 0.147 0.154 0.974